1.
Starting from the GGA-PBE geometry in Alexandria, the PXRD pattern of TbNdRh was computed for copper Kα.
No peak broadening, texture or thermal motion is included.

Main lines, sorted by position (2θ = 10–80°):
2θ (°), I (rel.)
13.98, 23
15.74, 15
26.79, 41
28.16, 18
30.94, 29
31.19, 100
31.78, 16
34.65, 60
36.28, 30
40.13, 37
46.13, 30
55.20, 18

Cell lengths 5.8649, 4.4941, 6.5995 Å; angles 90.00, 106.21, 90.00 degrees
Element x y z (fractional)
Tb (0.0256, 0.2500, 0.2026)
Tb (0.9744, 0.7500, 0.7974)
Nd (0.4296, 0.2500, 0.7156)
Nd (0.5704, 0.7500, 0.2844)
Rh (0.1614, 0.7500, 0.4491)
Rh (0.8386, 0.2500, 0.5509)



2.
Starting from the GGA-PBE geometry in Alexandria, the PXRD pattern of Sr2U4O11 was computed for copper Kα.
No peak broadening, texture or thermal motion is included.

Main lines, sorted by position (2θ = 10–80°):
2θ (°), I (rel.)
13.81, 19
27.81, 34
28.33, 100
32.48, 16
32.77, 32
46.49, 22
46.65, 11
47.12, 22
47.39, 11
55.44, 11
55.74, 15
55.84, 11

Cell lengths 10.2204, 10.2204, 6.8083 Å; angles 109.16, 109.16, 21.64 degrees
Element x y z (fractional)
Sr (0.0000, 0.0000, 0.0000)
Sr (0.6758, 0.6758, 0.0087)
U (0.1680, 0.1680, 0.4911)
U (0.3351, 0.3351, 0.9879)
U (0.4997, 0.4997, 0.4686)
U (0.8378, 0.8378, 0.4995)
O (0.0409, 0.0409, 0.3784)
O (0.1300, 0.1300, 0.1611)
O (0.2204, 0.2204, 0.8419)
O (0.3001, 0.3001, 0.6068)
O (0.3804, 0.3804, 0.3797)
O (0.4527, 0.4527, 0.1195)
O (0.6154, 0.6154, 0.6120)
O (0.7162, 0.7162, 0.4135)
O (0.8047, 0.8047, 0.1414)
O (0.8670, 0.8670, 0.8514)
O (0.9648, 0.9648, 0.6178)



3.
Starting from the GGA-PBE geometry in Alexandria, the PXRD pattern of AgBRh3 was computed for copper Kα.
No peak broadening, texture or thermal motion is included.

Main lines, sorted by position (2θ = 10–80°):
2θ (°), I (rel.)
35.27, 51
37.51, 100
38.93, 22
44.21, 38
47.87, 66
56.74, 19
66.73, 26
73.24, 13
74.60, 5
77.79, 29
79.14, 11
79.56, 15

Cell lengths 6.0312, 6.0312, 6.0312 Å; angles 55.40, 55.40, 55.40 degrees
Element x y z (fractional)
Ag (0.0889, 0.0889, 0.0889)
Ag (0.9111, 0.9111, 0.9111)
B (0.3317, 0.3317, 0.3317)
B (0.6683, 0.6683, 0.6683)
Rh (0.0961, 0.5886, 0.5886)
Rh (0.4114, 0.4114, 0.9039)
Rh (0.4114, 0.9039, 0.4114)
Rh (0.5886, 0.0961, 0.5886)
Rh (0.5886, 0.5886, 0.0961)
Rh (0.9039, 0.4114, 0.4114)



4.
Starting from the GGA-PBE geometry in Alexandria, the PXRD pattern of Ac4GeS2 was computed for copper Kα.
No peak broadening, texture or thermal motion is included.

Main lines, sorted by position (2θ = 10–80°):
2θ (°), I (rel.)
24.03, 34
26.66, 100
26.78, 27
26.93, 24
33.98, 18
34.09, 21
41.60, 14
42.00, 28
43.88, 20
44.00, 14
50.21, 19
66.41, 14

Cell lengths 16.5196, 4.3421, 7.4294 Å; angles 90.00, 116.34, 90.00 degrees
Element x y z (fractional)
Ac (0.1255, 0.0000, 0.4603)
Ac (0.1282, 0.5000, 0.9635)
Ac (0.3718, 0.0000, 0.0365)
Ac (0.3745, 0.5000, 0.5397)
Ac (0.6255, 0.5000, 0.4603)
Ac (0.6282, 0.0000, 0.9635)
Ac (0.8718, 0.5000, 0.0365)
Ac (0.8745, 0.0000, 0.5397)
Ge (0.0000, 0.0000, 0.0000)
Ge (0.5000, 0.5000, 0.0000)
S (0.2459, 0.5000, 0.7391)
S (0.2541, 0.0000, 0.2609)
S (0.7459, 0.0000, 0.7391)
S (0.7541, 0.5000, 0.2609)



5.
Starting from the GGA-PBE geometry in Alexandria, the PXRD pattern of CsNa7Ta8O24 was computed for copper Kα.
No peak broadening, texture or thermal motion is included.

Main lines, sorted by position (2θ = 10–80°):
2θ (°), I (rel.)
15.66, 2
22.22, 76
24.88, 2
31.62, 100
38.99, 8
45.33, 32
51.04, 33
56.32, 40
66.04, 19
70.62, 15
75.07, 17
79.43, 5

Cell lengths 8.0031, 8.0031, 8.0031 Å; angles 90.00, 90.00, 90.00 degrees
Element x y z (fractional)
Cs (0.0000, 0.0000, 0.0000)
Na (0.0000, 0.0000, 0.5000)
Na (0.0000, 0.5000, 0.0000)
Na (0.0000, 0.5000, 0.5000)
Na (0.5000, 0.0000, 0.0000)
Na (0.5000, 0.0000, 0.5000)
Na (0.5000, 0.5000, 0.0000)
Na (0.5000, 0.5000, 0.5000)
Ta (0.2522, 0.2522, 0.2522)
Ta (0.2522, 0.2522, 0.7478)
Ta (0.2522, 0.7478, 0.2522)
Ta (0.2522, 0.7478, 0.7478)
Ta (0.7478, 0.2522, 0.2522)
Ta (0.7478, 0.2522, 0.7478)
Ta (0.7478, 0.7478, 0.2522)
Ta (0.7478, 0.7478, 0.7478)
O (0.0000, 0.2572, 0.2572)
O (0.0000, 0.2572, 0.7428)
O (0.0000, 0.7428, 0.2572)
O (0.0000, 0.7428, 0.7428)
O (0.2530, 0.2530, 0.5000)
O (0.2530, 0.5000, 0.2530)
O (0.2530, 0.5000, 0.7470)
O (0.2530, 0.7470, 0.5000)
O (0.2572, 0.0000, 0.2572)
O (0.2572, 0.0000, 0.7428)
O (0.2572, 0.2572, 0.0000)
O (0.2572, 0.7428, 0.0000)
O (0.5000, 0.2530, 0.2530)
O (0.5000, 0.2530, 0.7470)
O (0.5000, 0.7470, 0.2530)
O (0.5000, 0.7470, 0.7470)
O (0.7428, 0.0000, 0.2572)
O (0.7428, 0.0000, 0.7428)
O (0.7428, 0.2572, 0.0000)
O (0.7428, 0.7428, 0.0000)
O (0.7470, 0.2530, 0.5000)
O (0.7470, 0.5000, 0.2530)
O (0.7470, 0.5000, 0.7470)
O (0.7470, 0.7470, 0.5000)



6.
Starting from the GGA-PBE geometry in Alexandria, the PXRD pattern of Li6In3Pd was computed for copper Kα.
No peak broadening, texture or thermal motion is included.

Main lines, sorted by position (2θ = 10–80°):
2θ (°), I (rel.)
14.65, 100
21.96, 18
24.67, 38
30.41, 30
32.46, 30
37.11, 33
38.86, 27
42.08, 24
42.91, 18
43.02, 25
50.65, 13
54.73, 12

Cell lengths 7.5711, 7.5711, 7.5711 Å; angles 106.03, 106.03, 106.03 degrees
Element x y z (fractional)
Li (0.0648, 0.8156, 0.2784)
Li (0.1844, 0.7216, 0.9352)
Li (0.1910, 0.6282, 0.5130)
Li (0.2784, 0.0648, 0.8156)
Li (0.3718, 0.4870, 0.8090)
Li (0.4870, 0.8090, 0.3718)
Li (0.5130, 0.1910, 0.6282)
Li (0.6282, 0.5130, 0.1910)
Li (0.7216, 0.9352, 0.1844)
Li (0.8090, 0.3718, 0.4870)
Li (0.8156, 0.2784, 0.0648)
Li (0.9352, 0.1844, 0.7216)
In (0.1132, 0.2227, 0.4147)
In (0.2227, 0.4147, 0.1132)
In (0.4147, 0.1132, 0.2227)
In (0.5853, 0.8868, 0.7773)
In (0.7773, 0.5853, 0.8868)
In (0.8868, 0.7773, 0.5853)
Pd (0.0000, 0.0000, 0.0000)
Pd (0.5000, 0.5000, 0.5000)



7.
Starting from the GGA-PBE geometry in Alexandria, the PXRD pattern of La4Hg2Br5 was computed for copper Kα.
No peak broadening, texture or thermal motion is included.

Main lines, sorted by position (2θ = 10–80°):
2θ (°), I (rel.)
10.41, 100
22.85, 38
24.89, 24
27.88, 21
28.08, 55
31.63, 76
31.80, 23
33.62, 22
33.77, 40
37.18, 34
42.43, 29
46.09, 20

Cell lengths 13.0720, 13.0720, 8.6602 Å; angles 100.98, 100.98, 17.33 degrees
Element x y z (fractional)
La (0.0311, 0.0311, 0.2802)
La (0.3361, 0.3361, 0.5567)
La (0.6639, 0.6639, 0.4433)
La (0.9689, 0.9689, 0.7198)
Hg (0.0853, 0.0853, 0.6238)
Hg (0.9147, 0.9147, 0.3762)
Br (0.1367, 0.1367, 0.1683)
Br (0.2298, 0.2298, 0.6770)
Br (0.5000, 0.5000, 0.0000)
Br (0.7702, 0.7702, 0.3230)
Br (0.8633, 0.8633, 0.8317)



8.
Starting from the GGA-PBE geometry in Alexandria, the PXRD pattern of BiTeS3 was computed for copper Kα.
No peak broadening, texture or thermal motion is included.

Main lines, sorted by position (2θ = 10–80°):
2θ (°), I (rel.)
14.78, 100
25.74, 58
29.06, 30
36.10, 87
39.21, 23
39.78, 16
45.38, 26
47.49, 18
52.44, 15
59.32, 19
70.67, 14
77.72, 17

Cell lengths 6.9225, 6.9225, 7.1569 Å; angles 90.00, 90.00, 120.00 degrees
Element x y z (fractional)
Bi (0.0000, 0.0000, 0.0000)
Bi (0.0000, 0.0000, 0.5000)
Te (0.6667, 0.3333, 0.0000)
Te (0.6667, 0.3333, 0.5000)
S (0.3426, 0.0532, 0.2500)
S (0.3426, 0.2894, 0.7500)
S (0.7106, 0.0532, 0.7500)
S (0.7106, 0.6574, 0.2500)
S (0.9468, 0.2894, 0.2500)
S (0.9468, 0.6574, 0.7500)